Entry 1:
Simulated powder X-ray diffraction pattern of NdCd9Pt2 for Cu Kα (weighted mean of Kα1 and Kα2), from the PBE geometry in Alexandria.

Structural model:
```
NdCd9Pt2
1.0
-5.8666 5.8666 3.7748
5.8666 -5.8666 3.7748
5.8666 5.8666 -3.7748
Nd Cd Pt
2 18 4
direct
0.3750 0.6250 0.7500
0.6250 0.3750 0.2500
0.1250 0.8750 0.2500
0.1270 0.5574 0.3284
0.1270 0.7986 0.5696
0.2014 0.2710 0.3284
0.2014 0.8730 0.9304
0.2710 0.2014 0.8284
0.2710 0.4426 0.0696
0.4426 0.2710 0.5696
0.4426 0.8730 0.1716
0.5574 0.1270 0.8284
0.5574 0.7290 0.4304
0.7290 0.5574 0.9304
0.7290 0.7986 0.1716
0.7986 0.1270 0.0696
0.7986 0.7290 0.6716
0.8730 0.2014 0.4304
0.8730 0.4426 0.6716
0.8750 0.1250 0.7500
0.0000 0.0000 0.0000
0.0000 0.0000 0.5000
0.0000 0.5000 0.0000
0.5000 0.0000 0.5000
```

Main lines, by angle (15° ≤ 2θ ≤ 90°):
2θ 29.90, I 44
2θ 33.88, I 85
2θ 34.18, I 55
2θ 36.52, I 37
2θ 39.72, I 34
2θ 40.24, I 100
2θ 41.94, I 57
2θ 53.34, I 19
2θ 61.00, I 25
2θ 71.98, I 20

***

Entry 2:
Simulated powder X-ray diffraction pattern of Nd6Cd2Pt for Cu Kα (weighted mean of Kα1 and Kα2), from the PBE geometry in Alexandria.

Structural model:
```
Nd6Cd2Pt
1.0
6.3247 0.0000 0.0000
0.0000 9.3799 0.0000
-5.2400 0.0000 9.4254
Nd Cd Pt
12 4 2
direct
0.0604 0.1834 0.4661
0.0604 0.3166 0.9661
0.3509 0.6750 0.4483
0.3509 0.8250 0.9483
0.3861 0.0319 0.2824
0.3861 0.4681 0.7824
0.6139 0.5319 0.2176
0.6139 0.9681 0.7176
0.6491 0.1750 0.0517
0.6491 0.3250 0.5517
0.9396 0.6834 0.0339
0.9396 0.8166 0.5339
0.1400 0.1087 0.7628
0.1400 0.3913 0.2628
0.8600 0.6087 0.7372
0.8600 0.8913 0.2372
0.0000 0.0000 0.0000
0.0000 0.5000 0.5000
```

Main lines, by angle (15° ≤ 2θ ≤ 90°):
2θ 26.82, I 32
2θ 29.37, I 35
2θ 30.00, I 34
2θ 30.32, I 28
2θ 31.97, I 100
2θ 32.48, I 59
2θ 33.83, I 38
2θ 34.36, I 22
2θ 34.70, I 22
2θ 38.20, I 36

***

Entry 3:
Simulated powder X-ray diffraction pattern of Nd4Cd5Pt6 for Cu Kα (weighted mean of Kα1 and Kα2), from the PBE geometry in Alexandria.

Structural model:
```
Nd4Cd5Pt6
1.0
2.0720 -11.0105 0.0000
2.0720 11.0105 0.0000
0.0000 0.0000 15.0290
Nd Cd Pt
8 10 12
direct
0.0187 0.9813 0.5000
0.0549 0.9451 0.7647
0.1330 0.8670 0.2806
0.1782 0.8218 0.9383
0.8218 0.1782 0.4383
0.8670 0.1330 0.7806
0.9451 0.0549 0.2647
0.9813 0.0187 0.0000
0.1790 0.8210 0.6043
0.3107 0.6893 0.6129
0.3171 0.6829 0.2595
0.3527 0.6473 0.9557
0.4629 0.5371 0.6594
0.5371 0.4629 0.1594
0.6473 0.3527 0.4557
0.6829 0.3171 0.7595
0.6893 0.3107 0.1129
0.8210 0.1790 0.1043
0.1022 0.8978 0.0909
0.2298 0.7702 0.4283
0.2674 0.7326 0.7889
0.4121 0.5879 0.1220
0.4207 0.5793 0.4136
0.4601 0.5399 0.8498
0.5399 0.4601 0.3498
0.5793 0.4207 0.9136
0.5879 0.4121 0.6220
0.7326 0.2674 0.2889
0.7702 0.2298 0.9283
0.8978 0.1022 0.5909
```

Main lines, by angle (15° ≤ 2θ ≤ 90°):
2θ 30.20, I 31
2θ 31.96, I 41
2θ 32.42, I 46
2θ 34.70, I 100
2θ 35.85, I 36
2θ 36.35, I 31
2θ 38.25, I 27
2θ 40.24, I 50
2θ 41.44, I 30
2θ 43.69, I 60

***

Entry 4:
Simulated powder X-ray diffraction pattern of NdCd5Pt3 for Cu Kα (weighted mean of Kα1 and Kα2), from the PBE geometry in Alexandria.

Structural model:
```
NdCd5Pt3
1.0
2.0185 -7.3803 0.0000
2.0185 7.3803 0.0000
0.0000 0.0000 13.2831
Nd Cd Pt
2 10 6
direct
0.1717 0.8283 0.7500
0.8283 0.1717 0.2500
0.0000 0.0000 0.0000
0.0000 0.0000 0.5000
0.1967 0.8033 0.0476
0.1967 0.8033 0.4524
0.4351 0.5649 0.6450
0.4351 0.5649 0.8550
0.5649 0.4351 0.1450
0.5649 0.4351 0.3550
0.8033 0.1967 0.5476
0.8033 0.1967 0.9524
0.1657 0.8343 0.2500
0.3832 0.6168 0.0821
0.3832 0.6168 0.4179
0.6168 0.3832 0.5821
0.6168 0.3832 0.9179
0.8343 0.1657 0.7500
```

Main lines, by angle (15° ≤ 2θ ≤ 90°):
2θ 30.57, I 47
2θ 31.68, I 62
2θ 35.53, I 100
2θ 37.75, I 99
2θ 41.13, I 39
2θ 42.02, I 31
2θ 44.91, I 55
2θ 45.91, I 30
2θ 63.14, I 31
2θ 78.07, I 25

***

Entry 5:
Simulated powder X-ray diffraction pattern of Nd2Cd3Rh4 for Cu Kα (weighted mean of Kα1 and Kα2), from the PBE geometry in Alexandria.

Structural model:
```
Nd2Cd3Rh4
1.0
2.9135 -8.7927 0.0000
2.9135 8.7927 0.0000
0.0000 0.0000 7.2033
Nd Cd Rh
4 6 8
direct
0.0998 0.9002 0.9121
0.4002 0.5998 0.4121
0.5998 0.4002 0.5879
0.9002 0.0998 0.0879
0.0000 0.0000 0.5000
0.0099 0.4901 0.7500
0.4901 0.0099 0.2500
0.5000 0.5000 0.0000
0.5099 0.9901 0.7500
0.9901 0.5099 0.2500
0.1575 0.8425 0.5209
0.1700 0.3300 0.7500
0.3300 0.1700 0.2500
0.3425 0.6575 0.0209
0.6575 0.3425 0.9791
0.6700 0.8300 0.7500
0.8300 0.6700 0.2500
0.8425 0.1575 0.4791
```

Main lines, by angle (15° ≤ 2θ ≤ 90°):
2θ 32.21, I 92
2θ 32.99, I 33
2θ 34.75, I 52
2θ 37.02, I 24
2θ 38.88, I 42
2θ 39.65, I 50
2θ 39.79, I 100
2θ 41.08, I 30
2θ 43.81, I 24
2θ 69.20, I 34

***

Entry 6:
Simulated powder X-ray diffraction pattern of NdCd4Rh2 for Cu Kα (weighted mean of Kα1 and Kα2), from the PBE geometry in Alexandria.

Structural model:
```
NdCd4Rh2
1.0
2.1290 -8.3870 0.0000
2.1290 8.3870 0.0000
0.0000 0.0000 4.2500
Nd Cd Rh
1 4 2
direct
0.0000 0.0000 0.0000
0.1795 0.8205 0.5000
0.3230 0.6770 0.0000
0.6770 0.3230 0.0000
0.8205 0.1795 0.5000
0.4268 0.5732 0.5000
0.5732 0.4268 0.5000
```

Main lines, by angle (15° ≤ 2θ ≤ 90°):
2θ 32.01, I 10
2θ 33.84, I 100
2θ 34.02, I 11
2θ 38.55, I 11
2θ 40.27, I 19
2θ 42.50, I 44
2θ 54.18, I 8
2θ 61.67, I 14
2θ 72.18, I 10
2θ 72.29, I 12

***

Entry 7:
Simulated powder X-ray diffraction pattern of Nd5CdS8 for Cu Kα (weighted mean of Kα1 and Kα2), from the PBE geometry in Alexandria.

Structural model:
```
Nd5CdS8
1.0
-4.3005 4.3005 4.3104
4.3005 -4.3005 4.3104
4.3005 4.3005 -4.3104
Nd Cd S
5 1 8
direct
0.0000 0.0000 0.0000
0.2501 0.6343 0.1184
0.3657 0.4842 0.6158
0.5158 0.1316 0.8816
0.8684 0.7499 0.3842
0.7500 0.2500 0.5000
0.1210 0.2285 0.7557
0.1431 0.7465 0.7600
0.2535 0.0136 0.3967
0.4728 0.3653 0.2443
0.6169 0.8569 0.6033
0.6347 0.8790 0.1075
0.7715 0.5272 0.8925
0.9864 0.3831 0.2400
```

Main lines, by angle (15° ≤ 2θ ≤ 90°):
2θ 25.35, I 100
2θ 32.91, I 96
2θ 39.16, I 59
2θ 47.22, I 39
2θ 49.68, I 26
2θ 54.32, I 17
2θ 54.39, I 15
2θ 66.95, I 13
2θ 67.06, I 23
2θ 82.35, I 14